Structure and computed powder X-ray diffraction pattern of KCoSeO (DFT lattice parameters and positions (GGA+U); Cu Kα (weighted mean of Kα1 and Kα2)).

The 10 most intense peaks (2θ = 10–90°), low angle first:
hkl  2θ/deg  Rel. int.
0 1 1  17.04  100
1 0 1  18.57  50
1 0 -2  20.48  46
1 1 -2  25.79  56
0 0 4  28.31  50
1 1 3  32.42  83
2 0 -1  33.20  98
0 2 2  34.47  51
1 1 -4  35.10  54
2 2 1  47.46  78

Cell: 5.428 5.712 12.682 Å, 90.00 96.19 90.00°
Space group P2_1 (No. 4)
Inequivalent atoms, fractional coordinates:
K (0.146, 0.000, 0.230) (multiplicity 2)
K (0.229, 0.901, 0.534) (multiplicity 2)
Co (0.004, 0.778, 0.992) (multiplicity 2)
Co (0.472, 0.260, 0.959) (multiplicity 2)
Se (0.325, 0.408, 0.622) (multiplicity 2)
Se (0.351, 0.127, 0.768) (multiplicity 2)
O (0.246, 0.524, 0.999) (multiplicity 2)
O (0.256, 0.025, 0.033) (multiplicity 2)